1.
Theoretical X-ray diffraction stick pattern of CeAsAuS for Cu Kα (weighted mean of Kα1 and Kα2), from a PBE-relaxed structure.

```
8
Lattice="4.3500 0.0000 0.0000 0.0000 4.3500 0.0000 0.0000 0.0000 8.8410" Properties=species:S:1:pos:R:3 pbc="T T T"
Ce 1.0875 1.0875 1.7177
Ce 3.2625 3.2625 7.1233
As 1.0875 1.0875 6.0895
As 3.2625 3.2625 2.7515
Au 1.0875 3.2625 4.4205
Au 3.2625 1.0875 4.4205
S 1.0875 3.2625 0.0000
S 3.2625 1.0875 0.0000
```

Top 12 peaks for 2θ from 5° to 70°, in order of rising 2θ:
| two_theta | I/Imax |
| --- | --- |
| 10.0 | 59 |
| 28.8 | 23 |
| 30.3 | 11 |
| 30.8 | 32 |
| 35.6 | 100 |
| 41.5 | 42 |
| 46.1 | 14 |
| 50.9 | 10 |
| 52.3 | 10 |
| 59.6 | 10 |
| 60.2 | 14 |
| 63.7 | 11 |

***

2.
Theoretical X-ray diffraction stick pattern of La5BCl5 for Cu Kα (weighted mean of Kα1 and Kα2), from a PBE-relaxed structure.

```
11
Lattice="6.4142 -2.9017 0.0000 6.4142 2.9017 0.0000 -2.7073 0.0000 7.9784" Properties=species:S:1:pos:R:3 pbc="T T T"
La 0.0000 0.0000 0.0000
La 3.9391 0.0000 1.1316
La 2.5651 0.0000 5.5910
La 7.5561 0.0000 2.3874
La 6.1821 0.0000 6.8468
B 6.4142 0.0000 0.0000
Cl -0.1998 0.0000 6.4450
Cl 1.1415 0.0000 2.7647
Cl 5.0606 0.0000 3.9892
Cl 8.9797 0.0000 5.2137
Cl 10.3210 0.0000 1.5334
```

Top 12 peaks for 2θ from 5° to 70°, in order of rising 2θ:
| two_theta | I/Imax |
| --- | --- |
| 11.1 | 24 |
| 26.2 | 52 |
| 26.8 | 44 |
| 30.5 | 45 |
| 30.8 | 100 |
| 35.7 | 18 |
| 42.9 | 14 |
| 43.9 | 32 |
| 44.1 | 35 |
| 44.8 | 16 |
| 53.8 | 14 |
| 55.3 | 18 |

***

3.
Theoretical X-ray diffraction stick pattern of Ag2Pt for Cu Kα (weighted mean of Kα1 and Kα2), from a PBE-relaxed structure.

```
12
Lattice="4.9797 -2.8760 0.0000 4.9797 2.8760 0.0000 -4.9355 0.0000 7.0878" Properties=species:S:1:pos:R:3 pbc="T T T"
Ag 0.0000 0.0000 0.0000
Ag 2.4772 1.4514 0.0787
Ag -1.6109 0.0000 4.7996
Ag 4.1534 1.4376 2.4214
Ag 1.6660 0.0000 2.4344
Ag 5.0042 0.0000 0.0478
Ag 2.4772 -1.4514 0.0787
Ag 4.1534 -1.4376 2.4214
Pt 0.8781 1.4502 4.7558
Pt 3.3370 0.0000 4.8016
Pt 0.8781 -1.4502 4.7558
Pt 6.6343 0.0000 2.4635
```

Top 12 peaks for 2θ from 5° to 70°, in order of rising 2θ:
| two_theta | I/Imax |
| --- | --- |
| 12.5 | 12 |
| 18.9 | 4 |
| 26.0 | 3 |
| 36.1 | 3 |
| 38.1 | 50 |
| 38.2 | 52 |
| 38.3 | 100 |
| 44.4 | 66 |
| 44.6 | 34 |
| 64.3 | 11 |
| 64.7 | 21 |
| 64.8 | 31 |

***

4.
Theoretical X-ray diffraction stick pattern of PmTaVGe2 for Cu Kα (weighted mean of Kα1 and Kα2), from a PBE-relaxed structure.

```
10
Lattice="3.9948 0.0000 0.0000 0.0000 3.9948 0.0000 0.0000 0.0000 11.9905" Properties=species:S:1:pos:R:3 pbc="T T T"
Pm 0.0000 0.0000 0.0000
Pm 1.9974 1.9974 5.9952
Ta 0.0000 1.9974 8.9929
Ta 1.9974 0.0000 2.9976
V 0.0000 1.9974 2.9976
V 1.9974 0.0000 8.9929
Ge 0.0000 0.0000 4.7042
Ge 0.0000 0.0000 7.2863
Ge 1.9974 1.9974 1.2911
Ge 1.9974 1.9974 10.6994
```

Top 12 peaks for 2θ from 5° to 70°, in order of rising 2θ:
| two_theta | I/Imax |
| --- | --- |
| 23.5 | 28 |
| 29.8 | 13 |
| 31.7 | 51 |
| 35.1 | 100 |
| 44.0 | 48 |
| 45.4 | 42 |
| 51.7 | 7 |
| 55.3 | 9 |
| 56.4 | 32 |
| 61.9 | 6 |
| 65.1 | 20 |
| 66.2 | 16 |

***

5.
Theoretical X-ray diffraction stick pattern of EuAg for Cu Kα (weighted mean of Kα1 and Kα2), from a PBE-relaxed structure.

```
8
Lattice="7.9318 0.0000 0.0000 0.0000 4.7677 0.0000 0.0000 0.0000 6.2050" Properties=species:S:1:pos:R:3 pbc="T T T"
Eu 1.4201 1.1919 0.8275
Eu 2.5458 3.5758 3.9300
Eu 5.3860 1.1919 2.2750
Eu 6.5117 3.5758 5.3775
Ag 0.2956 1.1919 3.9123
Ag 3.6703 3.5758 0.8098
Ag 4.2615 1.1919 5.3952
Ag 7.6361 3.5758 2.2927
```

Top 12 peaks for 2θ from 5° to 70°, in order of rising 2θ:
| two_theta | I/Imax |
| --- | --- |
| 26.1 | 42 |
| 29.3 | 84 |
| 30.9 | 67 |
| 32.7 | 91 |
| 36.4 | 100 |
| 37.0 | 39 |
| 37.7 | 52 |
| 48.2 | 23 |
| 49.6 | 36 |
| 53.8 | 26 |
| 62.8 | 20 |
| 69.9 | 16 |

***

6.
Theoretical X-ray diffraction stick pattern of PuCd5SnHg4 for Cu Kα (weighted mean of Kα1 and Kα2), from a PBE-relaxed structure.

```
11
Lattice="5.4415 0.0000 0.0000 0.0000 5.4415 0.0000 0.0000 0.0000 9.8979" Properties=species:S:1:pos:R:3 pbc="T T T"
Pu 0.0000 0.0000 0.0000
Cd 0.0000 2.7208 1.8807
Cd 0.0000 2.7208 8.0172
Cd 2.7208 0.0000 1.8807
Cd 2.7208 0.0000 8.0172
Cd 2.7208 2.7208 4.9490
Sn 2.7208 2.7208 0.0000
Hg 0.0000 0.0000 3.2326
Hg 0.0000 0.0000 6.6654
Hg 0.0000 2.7208 4.9490
Hg 2.7208 0.0000 4.9490
```

Top 12 peaks for 2θ from 5° to 70°, in order of rising 2θ:
| two_theta | I/Imax |
| --- | --- |
| 8.9 | 8 |
| 16.3 | 24 |
| 24.8 | 10 |
| 31.7 | 25 |
| 32.9 | 89 |
| 35.9 | 100 |
| 46.4 | 18 |
| 47.2 | 33 |
| 49.8 | 11 |
| 60.7 | 44 |
| 66.3 | 19 |
| 69.0 | 10 |

***

7.
Theoretical X-ray diffraction stick pattern of Hg3AsPb12 for Cu Kα (weighted mean of Kα1 and Kα2), from a PBE-relaxed structure.

```
16
Lattice="3.4220 -5.0717 0.0000 3.4220 5.0717 0.0000 -1.1458 0.0000 13.7789" Properties=species:S:1:pos:R:3 pbc="T T T"
Hg 0.0000 0.0000 0.0000
Hg 0.1634 0.0000 3.5144
Hg 5.5349 0.0000 10.2645
As -0.5729 0.0000 6.8895
Pb 1.8975 2.6908 1.7291
Pb 1.7434 2.8004 5.2485
Pb 3.9548 2.8004 8.5304
Pb 3.8008 2.6908 12.0498
Pb 2.3384 0.0000 10.3715
Pb 3.4220 0.0000 0.0000
Pb 2.8491 0.0000 6.8895
Pb 3.3599 0.0000 3.4074
Pb 1.8975 -2.6908 1.7291
Pb 1.7434 -2.8004 5.2485
Pb 3.9548 -2.8004 8.5304
Pb 3.8008 -2.6908 12.0498
```

Top 12 peaks for 2θ from 5° to 70°, in order of rising 2θ:
| two_theta | I/Imax |
| --- | --- |
| 31.4 | 100 |
| 31.6 | 61 |
| 31.8 | 20 |
| 34.0 | 10 |
| 35.4 | 57 |
| 38.7 | 17 |
| 51.0 | 16 |
| 53.2 | 11 |
| 53.4 | 12 |
| 61.0 | 22 |
| 61.2 | 11 |
| 65.5 | 10 |

***

8.
Theoretical X-ray diffraction stick pattern of AcPmHg5 for Cu Kα (weighted mean of Kα1 and Kα2), from a PBE-relaxed structure.

```
7
Lattice="4.7437 0.0000 0.0000 0.0000 4.7437 0.0000 0.0000 0.0000 9.1953" Properties=species:S:1:pos:R:3 pbc="T T T"
Ac 0.0000 0.0000 0.0000
Pm 2.3718 2.3718 4.5976
Hg 0.0000 0.0000 4.5976
Hg 0.0000 2.3718 2.3512
Hg 0.0000 2.3718 6.8441
Hg 2.3718 0.0000 2.3512
Hg 2.3718 0.0000 6.8441
```

Top 12 peaks for 2θ from 5° to 70°, in order of rising 2θ:
| two_theta | I/Imax |
| --- | --- |
| 9.6 | 6 |
| 18.7 | 8 |
| 21.1 | 5 |
| 27.0 | 7 |
| 33.1 | 100 |
| 37.9 | 35 |
| 39.2 | 17 |
| 54.7 | 12 |
| 55.7 | 23 |
| 65.4 | 29 |
| 67.2 | 13 |
| 69.4 | 12 |

***

9.
Theoretical X-ray diffraction stick pattern of Ce3Sn13Ru4 for Cu Kα (weighted mean of Kα1 and Kα2), from a PBE-relaxed structure.

```
40
Lattice="9.7845 0.0000 0.0000 0.0000 9.7845 0.0000 0.0000 0.0000 9.7845" Properties=species:S:1:pos:R:3 pbc="T T T"
Ce 0.0000 2.4461 4.8922
Ce 0.0000 7.3384 4.8922
Ce 2.4461 4.8922 0.0000
Ce 4.8922 0.0000 2.4461
Ce 4.8922 0.0000 7.3384
Ce 7.3384 4.8922 0.0000
Sn 0.0000 0.0000 0.0000
Sn 0.0000 2.9954 1.5107
Sn 0.0000 2.9954 8.2737
Sn 0.0000 6.7891 1.5107
Sn 0.0000 6.7891 8.2737
Sn 1.5107 0.0000 2.9954
Sn 1.5107 0.0000 6.7891
Sn 1.8969 4.8922 3.3815
Sn 1.8969 4.8922 6.4030
Sn 2.9954 1.5107 0.0000
Sn 2.9954 8.2737 0.0000
Sn 3.3815 1.8969 4.8922
Sn 3.3815 7.8876 4.8922
Sn 4.8922 3.3815 1.8969
Sn 4.8922 3.3815 7.8876
Sn 4.8922 4.8922 4.8922
Sn 4.8922 6.4030 1.8969
Sn 4.8922 6.4030 7.8876
Sn 6.4030 1.8969 4.8922
Sn 6.4030 7.8876 4.8922
Sn 6.7891 1.5107 0.0000
Sn 6.7891 8.2737 0.0000
Sn 7.8876 4.8922 3.3815
Sn 7.8876 4.8922 6.4030
Sn 8.2737 0.0000 2.9954
Sn 8.2737 0.0000 6.7891
Ru 2.4461 2.4461 2.4461
Ru 2.4461 2.4461 7.3384
Ru 2.4461 7.3384 2.4461
Ru 2.4461 7.3384 7.3384
Ru 7.3384 2.4461 2.4461
Ru 7.3384 2.4461 7.3384
Ru 7.3384 7.3384 2.4461
Ru 7.3384 7.3384 7.3384
```

Top 12 peaks for 2θ from 5° to 70°, in order of rising 2θ:
| two_theta | I/Imax |
| --- | --- |
| 33.0 | 100 |
| 34.3 | 37 |
| 36.7 | 21 |
| 37.9 | 14 |
| 41.3 | 9 |
| 45.4 | 21 |
| 54.7 | 14 |
| 58.1 | 17 |
| 60.6 | 8 |
| 63.0 | 13 |
| 64.6 | 7 |
| 66.9 | 11 |

***

10.
Theoretical X-ray diffraction stick pattern of Tb5Pm5Pr for Cu Kα (weighted mean of Kα1 and Kα2), from a PBE-relaxed structure.

```
11
Lattice="6.1632 0.0000 0.0000 -3.0816 5.3375 0.0000 0.0000 0.0000 11.7163" Properties=species:S:1:pos:R:3 pbc="T T T"
Tb 0.0000 0.0000 2.7410
Tb 0.0000 0.0000 8.9753
Tb 1.5474 0.8934 0.0000
Tb 4.6158 0.8934 0.0000
Tb 3.0816 3.5507 0.0000
Pm 0.0000 0.0000 5.8582
Pm 0.0000 3.5584 2.0635
Pm 0.0000 3.5584 9.6528
Pm 3.0816 1.7792 4.0117
Pm 3.0816 1.7792 7.7047
Pr 0.0000 3.5584 5.8582
```

Top 12 peaks for 2θ from 5° to 70°, in order of rising 2θ:
| two_theta | I/Imax |
| --- | --- |
| 28.3 | 100 |
| 29.0 | 86 |
| 30.0 | 29 |
| 32.8 | 25 |
| 34.5 | 37 |
| 34.9 | 34 |
| 37.0 | 28 |
| 37.2 | 24 |
| 46.0 | 21 |
| 50.9 | 39 |
| 55.3 | 19 |
| 60.0 | 28 |

***

11.
Theoretical X-ray diffraction stick pattern of PmZr2Ge2 for Cu Kα (weighted mean of Kα1 and Kα2), from a PBE-relaxed structure.

```
10
Lattice="4.5878 -5.4682 0.0000 4.5878 5.4682 0.0000 -3.1069 0.0000 4.9654" Properties=species:S:1:pos:R:3 pbc="T T T"
Pm 2.2577 4.2009 3.7240
Pm 3.8111 -4.2009 1.2413
Zr 3.0090 1.1326 0.0656
Zr 1.4556 -1.1326 2.5482
Zr 4.6132 1.1326 2.4171
Zr 3.0597 -1.1326 4.8998
Ge 3.8111 3.5595 1.2413
Ge 2.2577 1.2659 3.7240
Ge 3.8111 -1.2659 1.2413
Ge 2.2577 -3.5595 3.7240
```

Top 12 peaks for 2θ from 5° to 70°, in order of rising 2θ:
| two_theta | I/Imax |
| --- | --- |
| 22.9 | 49 |
| 26.0 | 43 |
| 27.2 | 48 |
| 30.8 | 100 |
| 32.8 | 78 |
| 35.6 | 43 |
| 35.9 | 85 |
| 38.4 | 28 |
| 41.1 | 33 |
| 45.6 | 45 |
| 53.5 | 28 |
| 56.3 | 26 |

***

12.
Theoretical X-ray diffraction stick pattern of La4Tb2SmTm2 for Cu Kα (weighted mean of Kα1 and Kα2), from a PBE-relaxed structure.

```
9
Lattice="7.7133 -2.5805 0.0000 7.7133 2.5805 0.0000 -2.5194 0.0000 7.6840" Properties=species:S:1:pos:R:3 pbc="T T T"
La 0.0018 0.0000 2.5266
La 2.5708 0.0000 5.1357
La 10.3364 0.0000 2.5482
La 12.9053 0.0000 5.1574
Tb 5.1564 0.0000 2.5301
Tb 7.7507 0.0000 5.1539
Sm 7.7133 0.0000 0.0000
Tm 0.0834 0.0000 7.6819
Tm 12.8238 0.0000 0.0021
```

Top 12 peaks for 2θ from 5° to 70°, in order of rising 2θ:
| two_theta | I/Imax |
| --- | --- |
| 30.0 | 100 |
| 30.2 | 99 |
| 34.8 | 34 |
| 34.9 | 34 |
| 35.0 | 33 |
| 50.1 | 36 |
| 50.2 | 24 |
| 59.5 | 43 |
| 59.7 | 28 |
| 59.9 | 14 |
| 62.4 | 12 |
| 62.7 | 12 |

***

13.
Theoretical X-ray diffraction stick pattern of CuF2 for Cu Kα (weighted mean of Kα1 and Kα2), from a PBE-relaxed structure.

```
9
Lattice="5.1556 0.0000 0.0000 -2.5778 4.4649 0.0000 0.0000 0.0000 4.4730" Properties=species:S:1:pos:R:3 pbc="T T T"
Cu 0.0000 0.0000 0.0000
Cu 0.0000 2.9766 2.2365
Cu 2.5778 1.4883 2.2365
F -0.8538 1.4788 1.1528
F -1.7240 2.9861 3.3202
F 1.7076 0.0000 1.1528
F 0.8538 1.4788 3.3202
F 3.4480 0.0000 3.3202
F 1.7240 2.9861 1.1528
```

Top 10 peaks for 2θ from 5° to 70°, in order of rising 2θ:
| two_theta | I/Imax |
| --- | --- |
| 19.8 | 12 |
| 28.2 | 100 |
| 34.8 | 33 |
| 40.4 | 31 |
| 45.4 | 26 |
| 54.3 | 53 |
| 58.5 | 23 |
| 62.4 | 24 |
| 66.1 | 8 |
| 66.2 | 2 |